The following is a theoretical X-ray diffraction stick pattern of Ba2ErZn2CuO7. It was derived from a structure optimized by DFT (GGA-PBE), using Cu Kα X-rays.
Lines closer than 0.1° are merged.

Structural model:
```
data_Ba2ErZn2CuO7
_chemical_formula_sum 'Ba2 Er1 Zn2 Cu1 O7'
_space_group_name_H-M_alt 'P 1'
_space_group_IT_number 1
_cell_length_a 3.9221
_cell_length_b 4.0025
_cell_length_c 11.6513
_cell_angle_alpha 90.00
_cell_angle_beta 90.00
_cell_angle_gamma 90.00
loop_
_space_group_symop_operation_xyz
'x,y,z'
loop_
_atom_site_label
_atom_site_type_symbol
_atom_site_fract_x
_atom_site_fract_y
_atom_site_fract_z
_atom_site_occupancy
Ba1 Ba 0.0000 0.0000 0.1805 1
Ba2 Ba 0.0000 0.0000 0.8195 1
Er1 Er 0.0000 0.0000 0.5000 1
Zn1 Zn 0.5000 0.5000 0.3432 1
Zn2 Zn 0.5000 0.5000 0.6568 1
Cu1 Cu 0.5000 0.5000 0.0000 1
O1 O 0.0000 0.5000 0.3803 1
O2 O 0.0000 0.5000 0.6197 1
O3 O 0.5000 0.0000 0.0000 1
O4 O 0.5000 0.0000 0.3796 1
O5 O 0.5000 0.0000 0.6204 1
O6 O 0.5000 0.5000 0.1619 1
O7 O 0.5000 0.5000 0.8381 1
```

Peak list (6 most intense, 2θ = 10–90°, by angle)
- 31.9°, I = 96, (1 1 0)
- 32.1°, I = 91, (0 1 3)
- 32.4°, I = 100, (1 0 3)
- 56.8°, I = 40, (1 2 3)
- 57.5°, I = 35, (2 1 3)
- 57.8°, I = 38, (1 1 6)


The following is a theoretical X-ray diffraction stick pattern of Ba2EuCu2HgO7. It was derived from a structure optimized by DFT (GGA-PBE), using Cu Kα X-rays.
Lines closer than 0.1° are merged.

Structural model:
```
data_Ba2EuCu2HgO7
_chemical_formula_sum 'Ba2 Eu1 Cu2 Hg1 O7'
_space_group_name_H-M_alt 'P 1'
_space_group_IT_number 1
_cell_length_a 3.8812
_cell_length_b 3.8812
_cell_length_c 12.9008
_cell_angle_alpha 90.00
_cell_angle_beta 90.00
_cell_angle_gamma 90.00
loop_
_space_group_symop_operation_xyz
'x,y,z'
loop_
_atom_site_label
_atom_site_type_symbol
_atom_site_fract_x
_atom_site_fract_y
_atom_site_fract_z
_atom_site_occupancy
Ba1 Ba 0.0000 0.0000 0.2006 1
Ba2 Ba 0.0000 0.0000 0.7994 1
Eu1 Eu 0.0000 0.0000 0.5000 1
Cu1 Cu 0.5000 0.5000 0.3644 1
Cu2 Cu 0.5000 0.5000 0.6356 1
Hg1 Hg 0.5000 0.5000 0.0000 1
O1 O 0.0000 0.0000 0.0000 1
O2 O 0.0000 0.5000 0.3825 1
O3 O 0.0000 0.5000 0.6175 1
O4 O 0.5000 0.0000 0.3825 1
O5 O 0.5000 0.0000 0.6175 1
O6 O 0.5000 0.5000 0.1639 1
O7 O 0.5000 0.5000 0.8361 1
```

Peak list (6 most intense, 2θ = 10–90°, by angle)
- 23.9°, I = 15, (1 0 1)
- 26.8°, I = 16, (1 0 2)
- 31.0°, I = 100, (1 0 3)
- 32.6°, I = 61, (1 1 0)
- 46.8°, I = 30, (2 0 0)
- 57.2°, I = 36, (2 1 3)


The following is a theoretical X-ray diffraction stick pattern of Ba2LiEuCu4O8. It was derived from a structure optimized by DFT (GGA-PBE), using Cu Kα X-rays.
Lines closer than 0.1° are merged.

Structural model:
```
data_Ba2LiEuCu4O8
_chemical_formula_sum 'Ba2 Li1 Eu1 Cu4 O8'
_space_group_name_H-M_alt 'P 1'
_space_group_IT_number 1
_cell_length_a 3.9021
_cell_length_b 3.9435
_cell_length_c 14.5748
_cell_angle_alpha 90.58
_cell_angle_beta 97.16
_cell_angle_gamma 90.02
loop_
_space_group_symop_operation_xyz
'x,y,z'
loop_
_atom_site_label
_atom_site_type_symbol
_atom_site_fract_x
_atom_site_fract_y
_atom_site_fract_z
_atom_site_occupancy
Ba1 Ba 0.0000 0.0000 0.0000 1
Ba2 Ba 0.1917 0.5173 0.4120 1
Li1 Li 0.4274 0.5008 0.8576 1
Eu1 Eu 0.3113 0.5300 0.6670 1
Cu1 Cu 0.5562 0.5057 0.1252 1
Cu2 Cu 0.6241 0.0106 0.2652 1
Cu3 Cu 0.7575 0.0264 0.5549 1
Cu4 Cu 0.8745 0.0252 0.7831 1
O1 O 0.2633 0.0267 0.5674 1
O2 O 0.3773 0.0256 0.7888 1
O3 O 0.4929 0.5021 0.9930 1
O4 O 0.5616 0.0059 0.1338 1
O5 O 0.6187 0.5101 0.2558 1
O6 O 0.6834 0.0155 0.3923 1
O7 O 0.7644 0.5269 0.5672 1
O8 O 0.8783 0.5253 0.7902 1
```

Peak list (6 most intense, 2θ = 10–90°, by angle)
- 32.4°, I = 100, (-1 1 1)
- 33.5°, I = 49, (0 1 -4)
- 33.8°, I = 39, (0 1 4)
- 36.0°, I = 34, (1 0 4)
- 46.0°, I = 34, (0 2 0)
- 46.6°, I = 34, (2 0 -1)


The following is a theoretical X-ray diffraction stick pattern of Ba2LiEuCu4O8. It was derived from a structure optimized by DFT (GGA-PBE), using Cu Kα X-rays.
Lines closer than 0.1° are merged.

Structural model:
```
data_Ba2LiEuCu4O8
_chemical_formula_sum 'Ba2 Li1 Eu1 Cu4 O8'
_space_group_name_H-M_alt 'P 1'
_space_group_IT_number 1
_cell_length_a 3.9364
_cell_length_b 3.8460
_cell_length_c 14.6118
_cell_angle_alpha 90.00
_cell_angle_beta 97.15
_cell_angle_gamma 90.00
loop_
_space_group_symop_operation_xyz
'x,y,z'
loop_
_atom_site_label
_atom_site_type_symbol
_atom_site_fract_x
_atom_site_fract_y
_atom_site_fract_z
_atom_site_occupancy
Ba1 Ba 0.1199 0.0000 0.2561 1
Ba2 Ba 0.8801 0.0000 0.7439 1
Li1 Li 0.0000 0.0000 0.5000 1
Eu1 Eu 0.0000 0.0000 0.0000 1
Cu1 Cu 0.3110 0.5000 0.5781 1
Cu2 Cu 0.4456 0.5000 0.8849 1
Cu3 Cu 0.5544 0.5000 0.1151 1
Cu4 Cu 0.6890 0.5000 0.4219 1
O1 O 0.0514 0.5000 0.1085 1
O2 O 0.2065 0.5000 0.4438 1
O3 O 0.3684 0.5000 0.7051 1
O4 O 0.4494 0.0000 0.8932 1
O5 O 0.5506 0.0000 0.1068 1
O6 O 0.6316 0.5000 0.2949 1
O7 O 0.7935 0.5000 0.5562 1
O8 O 0.9486 0.5000 0.8915 1
```

Peak list (6 most intense, 2θ = 10–90°, by angle)
- 31.2°, I = 39, (1 0 3)
- 31.5°, I = 43, (1 0 -4)
- 32.7°, I = 100, (1 1 0)
- 34.0°, I = 80, (0 1 4)
- 46.1°, I = 30, (2 0 -1)
- 47.3°, I = 29, (0 2 0)


The following is a theoretical X-ray diffraction stick pattern of Ba2LiEuCu4O8. It was derived from a structure optimized by DFT (GGA-PBE), using Cu Kα X-rays.
Lines closer than 0.1° are merged.

Structural model:
```
data_Ba2LiEuCu4O8
_chemical_formula_sum 'Ba2 Li1 Eu1 Cu4 O8'
_space_group_name_H-M_alt 'P 1'
_space_group_IT_number 1
_cell_length_a 3.9052
_cell_length_b 4.0119
_cell_length_c 15.1081
_cell_angle_alpha 90.00
_cell_angle_beta 91.45
_cell_angle_gamma 90.00
loop_
_space_group_symop_operation_xyz
'x,y,z'
loop_
_atom_site_label
_atom_site_type_symbol
_atom_site_fract_x
_atom_site_fract_y
_atom_site_fract_z
_atom_site_occupancy
Ba1 Ba 0.0000 0.0000 0.0000 1
Ba2 Ba 0.0468 0.0000 0.4822 1
Li1 Li 0.5831 0.5000 0.8615 1
Eu1 Eu 0.0085 0.0000 0.2393 1
Cu1 Cu 0.0815 0.5000 0.7563 1
Cu2 Cu 0.4977 0.5000 0.1271 1
Cu3 Cu 0.5223 0.5000 0.3457 1
Cu4 Cu 0.5670 0.5000 0.6209 1
O1 O 0.0211 0.5000 0.3329 1
O2 O 0.0686 0.5000 0.6301 1
O3 O 0.0924 0.5000 0.8864 1
O4 O 0.4971 0.0000 0.1198 1
O5 O 0.5191 0.0000 0.3338 1
O6 O 0.5512 0.5000 0.4992 1
O7 O 0.5810 0.5000 0.7441 1
O8 O 0.9970 0.5000 0.1269 1
```

Peak list (6 most intense, 2θ = 10–90°, by angle)
- 22.9°, I = 26, (0 1 1)
- 32.0°, I = 50, (1 1 0)
- 32.6°, I = 100, (1 0 -4)
- 33.4°, I = 34, (1 0 4)
- 37.2°, I = 25, (0 1 5)
- 45.2°, I = 26, (0 2 0)


The following is a theoretical X-ray diffraction stick pattern of Ba2LiEuCu4O8. It was derived from a structure optimized by DFT (GGA-PBE), using Cu Kα X-rays.
Lines closer than 0.1° are merged.

Structural model:
```
data_Ba2LiEuCu4O8
_chemical_formula_sum 'Ba2 Li1 Eu1 Cu4 O8'
_space_group_name_H-M_alt 'P 1'
_space_group_IT_number 1
_cell_length_a 3.9250
_cell_length_b 3.8729
_cell_length_c 15.7595
_cell_angle_alpha 90.00
_cell_angle_beta 97.14
_cell_angle_gamma 90.00
loop_
_space_group_symop_operation_xyz
'x,y,z'
loop_
_atom_site_label
_atom_site_type_symbol
_atom_site_fract_x
_atom_site_fract_y
_atom_site_fract_z
_atom_site_occupancy
Ba1 Ba 0.0000 0.0000 0.0000 1
Ba2 Ba 0.3086 0.0000 0.6148 1
Li1 Li 0.1096 0.0000 0.2118 1
Eu1 Eu 0.1897 0.0000 0.3772 1
Cu1 Cu 0.4413 0.5000 0.8811 1
Cu2 Cu 0.6269 0.5000 0.2481 1
Cu3 Cu 0.7411 0.5000 0.4800 1
Cu4 Cu 0.8773 0.5000 0.7520 1
O1 O 0.1297 0.5000 0.2537 1
O2 O 0.2349 0.5000 0.4677 1
O3 O 0.3814 0.5000 0.7603 1
O4 O 0.5011 0.5000 0.0019 1
O5 O 0.6297 0.0000 0.2536 1
O6 O 0.7346 0.0000 0.4672 1
O7 O 0.8183 0.5000 0.6340 1
O8 O 0.9379 0.5000 0.8742 1
```

Peak list (6 most intense, 2θ = 10–90°, by angle)
- 28.7°, I = 54, (0 1 3)
- 30.3°, I = 57, (1 0 -4)
- 32.6°, I = 100, (1 1 -1)
- 34.5°, I = 37, (1 0 4)
- 36.9°, I = 38, (0 1 5)
- 46.9°, I = 30, (0 2 0)